BeTl2CuAs2: simulated powder diffractogram (Cu Ka), based on the PBE geometry in Alexandria.

Cell and atoms:
```
BeTl2CuAs2
1.0
9.823 -2.679 0.000
9.823 2.679 0.000
-1.443 0.000 5.146
Be Tl Cu As
2 4 2 4
Direct
0.000 0.000 0.250
0.000 0.000 0.750
0.092 0.567 0.830
0.433 0.908 0.670
0.567 0.092 0.330
0.908 0.433 0.170
0.500 0.500 0.250
0.500 0.500 0.750
0.145 0.697 0.422
0.303 0.855 0.078
0.697 0.145 0.922
0.855 0.303 0.578
```

The 6 most intense peaks (15 to 90 degrees two-theta), sorted by position:
2θ 25.35, I = 26; 2θ 30.25, I = 100; 2θ 33.50, I = 34; 2θ 45.22, I = 22; 2θ 48.10, I = 21; 2θ 57.85, I = 23

***

BeTeAs2F: simulated powder diffractogram (Cu Ka), based on the PBE geometry in Alexandria.

Cell and atoms:
```
BeTeAs2F
1.0
5.455 0.000 0.000
0.000 5.455 0.000
0.000 0.000 4.458
Be Te As F
1 1 2 1
Direct
0.000 0.000 0.000
0.000 0.000 0.500
0.000 0.500 0.500
0.500 0.000 0.500
0.500 0.500 0.000
```

The 6 most intense peaks (15 to 90 degrees two-theta), sorted by position:
2θ 16.25, I = 62; 2θ 19.92, I = 100; 2θ 25.81, I = 64; 2θ 32.84, I = 84; 2θ 38.70, I = 74; 2θ 53.06, I = 41

***

Be8GaAs6: simulated powder diffractogram (Cu Ka), based on the PBE geometry in Alexandria.

Cell and atoms:
```
Be8GaAs6
1.0
6.654 0.000 0.000
-3.327 5.763 0.000
0.000 0.000 12.269
Be Ga As
16 2 12
Direct
0.000 0.339 0.000
0.000 0.357 0.635
0.000 0.643 0.135
0.000 0.661 0.500
0.333 0.667 0.253
0.333 0.667 0.753
0.339 0.000 0.000
0.339 0.339 0.500
0.357 0.000 0.635
0.357 0.357 0.135
0.643 0.000 0.135
0.643 0.643 0.635
0.661 0.000 0.500
0.661 0.661 0.000
0.667 0.333 0.253
0.667 0.333 0.753
0.000 0.000 0.271
0.000 0.000 0.771
0.000 0.000 0.059
0.000 0.000 0.559
0.000 0.363 0.817
0.000 0.637 0.317
0.333 0.667 0.061
0.333 0.667 0.561
0.363 0.000 0.817
0.363 0.363 0.317
0.637 0.000 0.317
0.637 0.637 0.817
0.667 0.333 0.061
0.667 0.333 0.561
```

The 6 most intense peaks (15 to 90 degrees two-theta), sorted by position:
2θ 27.78, I = 81; 2θ 29.11, I = 69; 2θ 30.57, I = 100; 2θ 47.32, I = 69; 2θ 52.53, I = 43; 2θ 56.53, I = 58

***

BeGa3As4: simulated powder diffractogram (Cu Ka), based on the PBE geometry in Alexandria.

Cell and atoms:
```
BeGa3As4
1.0
7.850 0.000 0.000
0.000 6.791 0.000
0.000 0.000 6.557
Be Ga As
2 6 8
Direct
0.000 0.168 0.000
0.500 0.832 0.500
0.000 0.837 0.501
0.250 0.332 0.500
0.250 0.668 0.000
0.500 0.163 0.001
0.750 0.332 0.500
0.750 0.668 0.000
0.000 0.170 0.656
0.000 0.857 0.123
0.234 0.323 0.123
0.266 0.677 0.623
0.500 0.143 0.623
0.500 0.830 0.156
0.734 0.677 0.623
0.766 0.323 0.123
```

The 6 most intense peaks (15 to 90 degrees two-theta), sorted by position:
2θ 26.23, I = 100; 2θ 27.20, I = 57; 2θ 29.61, I = 78; 2θ 46.29, I = 81; 2θ 49.59, I = 87; 2θ 54.52, I = 45

***

BeGe3As4: simulated powder diffractogram (Cu Ka), based on the PBE geometry in Alexandria.

Cell and atoms:
```
BeGe3As4
1.0
5.808 0.000 0.000
0.000 5.808 0.000
0.000 0.000 11.071
Be Ge As
2 6 8
Direct
0.000 0.000 0.000
0.500 0.500 0.500
0.000 0.000 0.500
0.000 0.500 0.250
0.000 0.500 0.750
0.500 0.000 0.250
0.500 0.000 0.750
0.500 0.500 0.000
0.227 0.227 0.882
0.227 0.773 0.118
0.273 0.273 0.382
0.273 0.727 0.618
0.727 0.273 0.618
0.727 0.727 0.382
0.773 0.227 0.118
0.773 0.773 0.882
```

The 6 most intense peaks (15 to 90 degrees two-theta), sorted by position:
2θ 27.04, I = 100; 2θ 44.11, I = 24; 2θ 45.26, I = 46; 2θ 52.50, I = 28; 2θ 54.52, I = 14; 2θ 81.95, I = 13

***

BeZnGe2As4: simulated powder diffractogram (Cu Ka), based on the PBE geometry in Alexandria.

Cell and atoms:
```
BeZnGe2As4
1.0
5.611 0.000 0.000
0.000 5.611 0.000
0.000 0.000 11.073
Be Zn Ge As
2 2 4 8
Direct
0.000 0.000 0.000
0.500 0.500 0.500
0.000 0.000 0.500
0.500 0.500 0.000
0.000 0.500 0.250
0.000 0.500 0.750
0.500 0.000 0.250
0.500 0.000 0.750
0.235 0.235 0.885
0.235 0.765 0.115
0.265 0.265 0.385
0.265 0.735 0.615
0.735 0.265 0.615
0.735 0.735 0.385
0.765 0.235 0.115
0.765 0.765 0.885
```

The 6 most intense peaks (15 to 90 degrees two-theta), sorted by position:
2θ 27.66, I = 100; 2θ 45.74, I = 24; 2θ 46.07, I = 46; 2θ 54.29, I = 28; 2θ 54.87, I = 13; 2θ 84.85, I = 14

***

BeAsH2: simulated powder diffractogram (Cu Ka), based on the PBE geometry in Alexandria.

Cell and atoms:
```
BeAsH2
1.0
3.879 0.000 0.000
-0.295 3.869 0.000
-1.822 -1.864 7.827
Be As H
2 2 4
Direct
0.206 0.294 0.000
0.794 0.706 0.000
0.382 0.878 0.147
0.618 0.122 0.853
0.029 0.531 0.548
0.396 0.888 0.334
0.604 0.112 0.666
0.971 0.469 0.452
```

The 6 most intense peaks (15 to 90 degrees two-theta), sorted by position:
2θ 23.68, I = 91; 2θ 28.64, I = 100; 2θ 28.81, I = 99; 2θ 31.44, I = 42; 2θ 34.37, I = 25; 2θ 47.01, I = 37

***

BeAsH: simulated powder diffractogram (Cu Ka), based on the PBE geometry in Alexandria.

Cell and atoms:
```
BeAsH
1.0
3.944 0.000 0.000
0.000 5.261 0.000
0.000 0.000 3.786
Be As H
2 2 2
Direct
0.000 0.144 0.000
0.000 0.856 0.500
0.500 0.348 0.064
0.500 0.652 0.564
0.000 0.115 0.620
0.000 0.885 0.120
```

The 6 most intense peaks (15 to 90 degrees two-theta), sorted by position:
2θ 16.85, I = 62; 2θ 22.54, I = 99; 2θ 28.28, I = 60; 2θ 29.06, I = 100; 2θ 37.09, I = 82; 2θ 48.03, I = 84

***

LiBe2AsH2: simulated powder diffractogram (Cu Ka), based on the PBE geometry in Alexandria.

Cell and atoms:
```
LiBe2AsH2
1.0
5.967 0.000 0.000
0.000 4.310 0.000
-2.701 0.000 5.826
Li Be As H
2 4 2 4
Direct
0.006 0.250 0.307
0.994 0.750 0.693
0.353 0.000 0.091
0.353 0.500 0.091
0.647 0.000 0.909
0.647 0.500 0.909
0.279 0.250 0.755
0.721 0.750 0.245
0.168 0.750 0.058
0.325 0.250 0.240
0.675 0.750 0.760
0.832 0.250 0.942
```

The 6 most intense peaks (15 to 90 degrees two-theta), sorted by position:
2θ 17.04, I = 100; 2θ 25.71, I = 65; 2θ 26.43, I = 69; 2θ 26.79, I = 24; 2θ 35.04, I = 32; 2θ 36.66, I = 31

***

Question: What is the formula in the ninth record?
Answer: LiBe2AsH2

***

Question: What is the formula in the seventh record?
Answer: BeAsH2